This entry pairs a crystal structure of GaAg8Hg2 with its calculated powder XRD pattern. Radiation: Cu Kα X-rays. Structure: the PBE geometry in Alexandria.
Peak positions follow from Bragg's law for the DFT cell and can differ from measured ones.

Peak list (6 most intense, 10° ≤ 2θ ≤ 80°, low angle first)
2theta  d (Å)  I_rel
30.4  2.942  23
38.0  2.368  65
38.8  2.319  31
39.0  2.312  100
39.2  2.296  80
39.8  2.267  31

Cell: 7.1874 7.1874 8.0452 Å, 120.54 120.54 37.24°
Atoms (fractional coordinates):
Ga1 0.0000 0.0000 0.0000
Ag1 0.0637 0.0637 0.3853
Ag2 0.1848 0.1848 0.8897
Ag3 0.3089 0.3089 0.6754
Ag4 0.4426 0.4426 0.1086
Ag5 0.5574 0.5574 0.8914
Ag6 0.6911 0.6911 0.3246
Ag7 0.8152 0.8152 0.1103
Ag8 0.9363 0.9363 0.6147
Hg1 0.3380 0.3380 0.3469
Hg2 0.6620 0.6620 0.6531